[1]
This entry pairs a crystal structure of Cr2InBr with its simulated powder X-ray diffraction pattern. Radiation: Cu Kα (weighted mean of Kα1 and Kα2). Structure: a cell relaxed with GGA-PBE.
Kinematic intensities with the Lorentz-polarization factor, no thermal factor.

Principal peaks in the range 10° ≤ 2θ ≤ 80°, in order of rising 2θ:
2θ/deg	I_rel
15.20	20
28.47	18
29.98	36
30.69	21
37.08	100
38.74	29
46.15	16
69.04	15

Cell: 6.4812 6.4812 6.4812 Å, 150.91 137.97 51.93°
Positions (direct):
1 Cr 0.0000 0.0000 0.0000
2 Cr 0.8346 0.3346 0.5000
3 In 0.3530 0.8530 0.5000
4 Br 0.6261 0.6261 0.0000


[2]
This entry pairs a crystal structure of Rb2PuSnS4 with its simulated powder X-ray diffraction pattern. Radiation: Cu Kα (weighted mean of Kα1 and Kα2). Structure: a cell relaxed with GGA-PBE.
Kinematic intensities with the Lorentz-polarization factor, no thermal factor.

Principal peaks in the range 10° ≤ 2θ ≤ 80°, in order of rising 2θ:
2θ/deg	I_rel
12.38	37
24.90	39
25.56	35
29.22	100
40.89	12
41.82	47
48.84	16
49.96	14

Cell: 8.6442 8.6442 8.6442 Å, 121.17 118.58 90.23°
Positions (direct):
1 Rb 0.0000 0.0000 0.0000
2 Rb 0.5000 0.0000 0.0000
3 Rb 0.5000 0.0000 0.5000
4 Rb 0.5000 0.5000 0.5000
5 Pu 0.0000 0.0000 0.5000
6 Pu 0.0000 0.5000 0.0000
7 Sn 0.0000 0.5000 0.5000
8 Sn 0.5000 0.5000 0.0000
9 S 0.1894 0.7369 0.4525
10 S 0.2157 0.2631 0.9525
11 S 0.2200 0.2463 0.5263
12 S 0.2200 0.6937 0.9737
13 S 0.7800 0.3063 0.0263
14 S 0.7800 0.7537 0.4737
15 S 0.7843 0.7369 0.0475
16 S 0.8106 0.2631 0.5475


[3]
This entry pairs a crystal structure of KSbF4 with its simulated powder X-ray diffraction pattern. Radiation: Cu Kα (weighted mean of Kα1 and Kα2). Structure: a cell relaxed with GGA-PBE.
Kinematic intensities with the Lorentz-polarization factor, no thermal factor.

Principal peaks in the range 10° ≤ 2θ ≤ 80°, in order of rising 2θ:
2θ/deg	I_rel
17.65	41
18.41	59
21.96	32
24.42	100
26.18	87
28.83	30
42.29	67
47.48	23

Cell: 11.8148 16.6533 4.6318 Å, 90.00 90.00 90.00°
Positions (direct):
1 K 0.0000 0.0000 0.0000
2 K 0.0000 0.5000 0.0000
3 K 0.2500 0.1342 0.4372
4 K 0.2500 0.3658 0.4372
5 K 0.5000 0.0000 0.0000
6 K 0.5000 0.5000 0.0000
7 K 0.7500 0.6342 0.5628
8 K 0.7500 0.8658 0.5628
9 Sb 0.0028 0.2500 0.9888
10 Sb 0.2500 0.5934 0.5679
11 Sb 0.2500 0.9066 0.5679
12 Sb 0.4972 0.2500 0.9888
13 Sb 0.5028 0.7500 0.0112
14 Sb 0.7500 0.0934 0.4321
15 Sb 0.7500 0.4066 0.4321
16 Sb 0.9972 0.7500 0.0112
17 F 0.0761 0.2500 0.3761
18 F 0.1009 0.6537 0.7903
19 F 0.1009 0.8463 0.7903
20 F 0.1176 0.1590 0.9260
21 F 0.1176 0.3410 0.9260
22 F 0.1322 0.5065 0.4859
23 F 0.1322 0.9935 0.4859
24 F 0.2500 0.5422 0.9531
25 F 0.2500 0.9578 0.9531
26 F 0.3678 0.5065 0.4859
27 F 0.3678 0.9935 0.4859
28 F 0.3824 0.1590 0.9260
29 F 0.3824 0.3410 0.9260
30 F 0.3991 0.6537 0.7903
31 F 0.3991 0.8463 0.7903
32 F 0.4239 0.2500 0.3761
33 F 0.5761 0.7500 0.6239
34 F 0.6009 0.1537 0.2097
35 F 0.6009 0.3463 0.2097
36 F 0.6176 0.6590 0.0740
37 F 0.6176 0.8410 0.0740
38 F 0.6322 0.0065 0.5141
39 F 0.6322 0.4935 0.5141
40 F 0.7500 0.0422 0.0469
41 F 0.7500 0.4578 0.0469
42 F 0.8678 0.0065 0.5141
43 F 0.8678 0.4935 0.5141
44 F 0.8824 0.6590 0.0740
45 F 0.8824 0.8410 0.0740
46 F 0.8991 0.1537 0.2097
47 F 0.8991 0.3463 0.2097
48 F 0.9239 0.7500 0.6239


[4]
This entry pairs a crystal structure of Tl12Se5S3 with its simulated powder X-ray diffraction pattern. Radiation: Cu Kα (weighted mean of Kα1 and Kα2). Structure: a cell relaxed with GGA-PBE.
Kinematic intensities with the Lorentz-polarization factor, no thermal factor.

Principal peaks in the range 10° ≤ 2θ ≤ 80°, in order of rising 2θ:
2θ/deg	I_rel
25.92	23
29.03	40
29.49	100
32.29	32
34.71	42
41.22	20
51.20	17
53.30	16

Cell: 12.8059 12.8059 4.3802 Å, 90.00 90.00 120.00°
Positions (direct):
1 Tl 0.0000 0.1863 0.0000
2 Tl 0.0000 0.4902 0.0000
3 Tl 0.1863 0.0000 0.0000
4 Tl 0.1904 0.7332 0.5000
5 Tl 0.2668 0.4573 0.5000
6 Tl 0.4573 0.2668 0.5000
7 Tl 0.4902 0.0000 0.0000
8 Tl 0.5098 0.5098 0.0000
9 Tl 0.5427 0.8096 0.5000
10 Tl 0.7332 0.1904 0.5000
11 Tl 0.8096 0.5427 0.5000
12 Tl 0.8137 0.8137 0.0000
13 Se 0.0000 0.7515 0.0000
14 Se 0.2485 0.2485 0.0000
15 Se 0.3333 0.6667 0.0000
16 Se 0.6667 0.3333 0.0000
17 Se 0.7515 0.0000 0.0000
18 S 0.0000 0.3355 0.5000
19 S 0.3355 0.0000 0.5000
20 S 0.6645 0.6645 0.5000


[5]
This entry pairs a crystal structure of Nd5DyTe6 with its simulated powder X-ray diffraction pattern. Radiation: Cu Kα (weighted mean of Kα1 and Kα2). Structure: a cell relaxed with GGA-PBE.
Kinematic intensities with the Lorentz-polarization factor, no thermal factor.

Principal peaks in the range 10° ≤ 2θ ≤ 80°, in order of rising 2θ:
2θ/deg	I_rel
28.21	100
40.27	38
40.36	38
49.89	20
58.33	13
65.99	12
66.10	17
73.28	11

Cell: 7.7615 7.7615 7.7336 Å, 99.60 99.60 120.08°
Positions (direct):
1 Nd 0.0000 0.0000 0.0000
2 Nd 0.1677 0.8323 0.5000
3 Nd 0.3256 0.6744 0.0000
4 Nd 0.6744 0.3256 0.0000
5 Nd 0.8323 0.1677 0.5000
6 Dy 0.5000 0.5000 0.5000
7 Te 0.0946 0.4185 0.2560
8 Te 0.2588 0.2588 0.7500
9 Te 0.4185 0.0946 0.2560
10 Te 0.5815 0.9054 0.7440
11 Te 0.7412 0.7412 0.2500
12 Te 0.9054 0.5815 0.7440


[6]
This entry pairs a crystal structure of Li3SbO3 with its simulated powder X-ray diffraction pattern. Radiation: Cu Kα (weighted mean of Kα1 and Kα2). Structure: a cell relaxed with GGA-PBE.
Kinematic intensities with the Lorentz-polarization factor, no thermal factor.

Principal peaks in the range 10° ≤ 2θ ≤ 80°, in order of rising 2θ:
2θ/deg	I_rel
14.39	39
25.06	100
32.53	27
38.70	24
41.50	30
44.14	18
58.04	29
60.13	16

Cell: 7.5386 7.5386 7.5386 Å, 109.47 109.47 109.47°
Positions (direct):
1 Li 0.0000 0.4665 0.7117
2 Li 0.0000 0.7117 0.4665
3 Li 0.2452 0.5335 0.5335
4 Li 0.2883 0.2883 0.7548
5 Li 0.2883 0.7548 0.2883
6 Li 0.4665 0.0000 0.7117
7 Li 0.4665 0.7117 0.0000
8 Li 0.5335 0.2452 0.5335
9 Li 0.5335 0.5335 0.2452
10 Li 0.7117 0.0000 0.4665
11 Li 0.7117 0.4665 0.0000
12 Li 0.7548 0.2883 0.2883
13 Sb 0.0000 0.0000 0.2806
14 Sb 0.0000 0.2806 0.0000
15 Sb 0.2806 0.0000 0.0000
16 Sb 0.7194 0.7194 0.7194
17 O 0.0000 0.2378 0.4941
18 O 0.0000 0.4941 0.2378
19 O 0.2378 0.0000 0.4941
20 O 0.2378 0.4941 0.0000
21 O 0.2563 0.7622 0.7622
22 O 0.4941 0.0000 0.2378
23 O 0.4941 0.2378 0.0000
24 O 0.5059 0.5059 0.7437
25 O 0.5059 0.7437 0.5059
26 O 0.7437 0.5059 0.5059
27 O 0.7622 0.2563 0.7622
28 O 0.7622 0.7622 0.2563


[7]
This entry pairs a crystal structure of Ti2InW with its simulated powder X-ray diffraction pattern. Radiation: Cu Kα (weighted mean of Kα1 and Kα2). Structure: a cell relaxed with GGA-PBE.
Kinematic intensities with the Lorentz-polarization factor, no thermal factor.

Principal peaks in the range 10° ≤ 2θ ≤ 80°, in order of rising 2θ:
2θ/deg	I_rel
25.73	19
28.28	30
38.60	100
40.42	44
48.54	14
58.50	14
68.62	18
72.30	31

Cell: 4.4627 4.4627 3.4622 Å, 90.00 90.00 90.00°
Positions (direct):
1 Ti 0.0000 0.5000 0.0000
2 Ti 0.5000 0.0000 0.0000
3 In 0.0000 0.0000 0.5000
4 W 0.5000 0.5000 0.5000


[8]
This entry pairs a crystal structure of RbCdIr3 with its simulated powder X-ray diffraction pattern. Radiation: Cu Kα (weighted mean of Kα1 and Kα2). Structure: a cell relaxed with GGA-PBE.
Kinematic intensities with the Lorentz-polarization factor, no thermal factor.

Principal peaks in the range 10° ≤ 2θ ≤ 80°, in order of rising 2θ:
2θ/deg	I_rel
17.47	45
30.50	96
35.37	100
39.71	23
50.88	71
54.21	12
60.50	43
63.49	24

Cell: 5.0757 5.0757 5.0757 Å, 90.00 90.00 90.00°
Positions (direct):
1 Rb 0.0000 0.0000 0.0000
2 Cd 0.5000 0.5000 0.5000
3 Ir 0.0000 0.5000 0.5000
4 Ir 0.5000 0.0000 0.5000
5 Ir 0.5000 0.5000 0.0000